This entry pairs a crystal structure of Ac6TlCd5 with its computed X-ray powder pattern. Radiation: Cu Kα X-rays. Structure: a cell relaxed with PBE.
Lines closer than 0.1° are merged.

The 10 most intense peaks (2θ from 10° to 90°), most intense first:
2θ = 30.97°, I 100; 2θ = 55.09°, I 40; 2θ = 44.36°, I 19; 2θ = 73.31°, I 17; 2θ = 89.82°, I 11; 2θ = 89.93°, I 11; 2θ = 64.53°, I 10; 2θ = 21.76°, I 8; 2θ = 49.94°, I 4; 2θ = 38.17°, I 3

Atomic structure:
Cell lengths 5.780, 8.169, 17.307 Å; angles 90.00, 90.00, 90.00 degrees
Space group Immm (No. 71)
Unique sites:
Ac: 0.000 0.248 0.000 [4 per cell]
Ac: 0.000 0.251 0.333 [8 per cell]
Tl: 0.000 0.000 0.500 [2 per cell]
Cd: 0.000 0.000 0.167 [4 per cell]
Cd: 0.000 0.500 0.168 [4 per cell]
Cd: 0.000 0.500 0.500 [2 per cell]